The following is a theoretical X-ray diffraction stick pattern of Cs2KMnCl6. It was derived from DFT lattice parameters and positions (PBE), using Cu Ka.
Peak positions follow from Bragg's law for the DFT cell and can differ from measured ones.

Largest 10 diffraction maxima, low angle first, 2θ = 10–90°:
2θ/deg	I_rel
11.59	70.9
17.98	52.3
23.85	54.5
27.12	37.9
30.03	100.0
36.42	68.9
44.00	22.4
48.81	26.2
55.93	21.7
61.64	22.3

Crystal structure
```
data_Cs2KMnCl6
_space_group_name_H-M_alt 'P -3 m 1'
_space_group_IT_number 164
_space_group_name_Hall '-P 3 2"'
_cell_length_a 7.4627
_cell_length_b 7.4627
_cell_length_c 7.6378
_cell_angle_alpha 90.00
_cell_angle_beta 90.00
_cell_angle_gamma 120.00
loop_
_atom_site_label
_atom_site_type_symbol
_atom_site_fract_x
_atom_site_fract_y
_atom_site_fract_z
Cs1 Cs 0.3333 0.6667 0.3403
K1 K 0.0000 0.0000 0.0000
Mn1 Mn 0.0000 0.0000 0.5000
Cl1 Cl 0.1523 0.3045 0.6845
```